Starting from a crystal structure in the Materials Project, relaxed with GGA-PBE, the powder X-ray diffraction pattern of Na2Sn4O9 was calculated for copper Kα.
Kinematic intensities with the Lorentz-polarization factor, no thermal factor.

a = 5.5037 Å, b = 5.5037 Å, c = 14.7461 Å
α = 90.00°, β = 90.00°, γ = 120.00°
Space group P-3c1 (No. 165)
Symmetry-distinct sites (fractional):
Na: 0.0000 0.0000 0.1486 (multiplicity 4)
Sn: 0.3333 0.6667 0.0243 (multiplicity 4)
Sn: 0.3333 0.6667 0.3124 (multiplicity 4)
O: 0.0000 0.3398 0.2500 (multiplicity 6)
O: 0.0404 0.3978 0.9207 (multiplicity 12)

Main lines, low angle first (2θ from 5° to 70°):
18.6 deg, I 62.3, (1 0 0); 30.7 deg, I 100.0, (1 0 4); 32.5 deg, I 77.9, (1 1 0); 45.3 deg, I 41.2, (0 2 4); 49.7 deg, I 38.4, (1 1 6); 56.9 deg, I 41.8, (2 1 4)